The following is a theoretical powder diffractogram of Na2V6O13. It was derived from a cell relaxed with GGA+U, using CuKα.

Structure:
```
data_Na2V6O13
_cell_length_a 12.170
_cell_length_b 3.772
_cell_length_c 10.875
_cell_angle_alpha 90.00
_cell_angle_beta 99.28
_cell_angle_gamma 90.00
_symmetry_space_group_name_H-M 'C 1 2/m 1'
_symmetry_Int_Tables_number 12
_symmetry_space_group_name_Hall '-C 2y'
loop_
_atom_site_label
_atom_site_fract_x
_atom_site_fract_y
_atom_site_fract_z
Na1 0.049 0.000 0.159
V1 0.090 0.500 0.608
V2 0.149 0.500 0.958
V3 0.213 0.500 0.367
O1 0.000 0.500 0.000
O2 0.068 0.500 0.425
O3 0.107 0.500 0.799
O4 0.117 0.000 0.621
O5 0.167 0.500 0.214
O6 0.183 0.000 0.003
O7 0.246 0.000 0.409
```

Principal peaks in the range 2θ from 15° to 90°, by intensity:
d/Å  2theta  I (rel.)  index
3.599  24.74  100  1 1 0
3.318  26.87  77  2 0 -3
1.886  48.25  72  0 2 0
2.028  44.69  64  6 0 -1
2.924  30.57  55  1 1 2
5.367  16.52  52  0 0 2
2.147  42.09  51  0 0 5
2.733  32.76  50  3 1 -1
3.578  24.89  48  0 0 3
2.746  32.61  45  3 1 0